[1]
The following is a simulated PXRD pattern of Mg6MnSb. It was derived from a structure optimized by DFT (GGA-PBE), using CuKα.
Neutral-atom scattering factors, no anomalous dispersion.

Principal peaks in the range 2θ = 5–70°, most intense first:
| 2θ (°) | I_rel |
| --- | --- |
| 37.42 | 100 |
| 16.14 | 63 |
| 24.19 | 54 |
| 37.61 | 52 |
| 36.16 | 37 |
| 32.61 | 29 |

Structural model:
```
data_Mg6MnSb
_space_group_name_H-M_alt 'P 1'
_space_group_IT_number 1
_space_group_name_Hall 'P 1'
_cell_length_a 4.968
_cell_length_b 6.355
_cell_length_c 10.914
_cell_angle_alpha 90.00
_cell_angle_beta 90.00
_cell_angle_gamma 90.00
loop_
_atom_site_label
_atom_site_fract_x
_atom_site_fract_y
_atom_site_fract_z
_atom_site_occupancy
Mg1 0.000 0.000 0.000 1
Mg2 0.000 0.240 0.254 1
Mg3 0.000 0.260 0.754 1
Mg4 0.000 0.500 0.500 1
Mg5 0.000 0.740 0.754 1
Mg6 0.000 0.760 0.254 1
Mg7 0.500 0.000 0.165 1
Mg8 0.500 0.243 0.420 1
Mg9 0.500 0.257 0.920 1
Mg10 0.500 0.500 0.665 1
Mg11 0.500 0.743 0.920 1
Mg12 0.500 0.757 0.420 1
Mn1 0.000 0.000 0.497 1
Mn2 0.000 0.500 0.997 1
Sb1 0.500 0.000 0.661 1
Sb2 0.500 0.500 0.161 1
```



[2]
The following is a simulated PXRD pattern of Mg14MnSb. It was derived from a structure optimized by DFT (GGA-PBE), using CuKα.
Neutral-atom scattering factors, no anomalous dispersion.

Principal peaks in the range 2θ = 5–70°, most intense first:
| 2θ (°) | I_rel |
| --- | --- |
| 37.19 | 100 |
| 16.13 | 30 |
| 32.58 | 28 |
| 35.31 | 25 |
| 23.84 | 22 |
| 69.88 | 19 |

Structural model:
```
data_Mg14MnSb
_space_group_name_H-M_alt 'P 1'
_space_group_IT_number 1
_space_group_name_Hall 'P 1'
_cell_length_a 6.347
_cell_length_b 6.347
_cell_length_c 10.168
_cell_angle_alpha 90.00
_cell_angle_beta 90.00
_cell_angle_gamma 120.00
loop_
_atom_site_label
_atom_site_fract_x
_atom_site_fract_y
_atom_site_fract_z
_atom_site_occupancy
Mg1 0.000 0.000 0.249 1
Mg2 0.000 0.000 0.751 1
Mg3 0.005 0.503 0.258 1
Mg4 0.005 0.503 0.742 1
Mg5 0.333 0.166 0.500 1
Mg6 0.334 0.167 0.000 1
Mg7 0.497 0.503 0.258 1
Mg8 0.497 0.503 0.742 1
Mg9 0.497 0.995 0.258 1
Mg10 0.497 0.995 0.742 1
Mg11 0.833 0.167 0.000 1
Mg12 0.833 0.666 0.000 1
Mg13 0.834 0.166 0.500 1
Mg14 0.834 0.667 0.500 1
Mn1 0.333 0.667 0.500 1
Sb1 0.333 0.667 0.000 1
```



[3]
The following is a simulated PXRD pattern of ThMgScMn. It was derived from a structure optimized by DFT (GGA-PBE), using CuKα.
Neutral-atom scattering factors, no anomalous dispersion.

Principal peaks in the range 2θ = 5–70°, most intense first:
| 2θ (°) | I_rel |
| --- | --- |
| 35.56 | 100 |
| 21.56 | 61 |
| 63.87 | 36 |
| 41.96 | 35 |
| 24.94 | 34 |
| 51.17 | 18 |

Structural model:
```
data_ThMgScMn
_space_group_name_H-M_alt 'P 1'
_space_group_IT_number 1
_space_group_name_Hall 'P 1'
_cell_length_a 7.140
_cell_length_b 7.140
_cell_length_c 7.140
_cell_angle_alpha 90.00
_cell_angle_beta 90.00
_cell_angle_gamma 90.00
loop_
_atom_site_label
_atom_site_fract_x
_atom_site_fract_y
_atom_site_fract_z
_atom_site_occupancy
Th1 0.000 0.000 0.000 1
Th2 0.000 0.500 0.500 1
Th3 0.500 0.000 0.500 1
Th4 0.500 0.500 0.000 1
Mg1 0.250 0.250 0.750 1
Mg2 0.250 0.750 0.250 1
Mg3 0.750 0.250 0.250 1
Mg4 0.750 0.750 0.750 1
Sc1 0.000 0.000 0.500 1
Sc2 0.000 0.500 0.000 1
Sc3 0.500 0.000 0.000 1
Sc4 0.500 0.500 0.500 1
Mn1 0.250 0.250 0.250 1
Mn2 0.250 0.750 0.750 1
Mn3 0.750 0.250 0.750 1
Mn4 0.750 0.750 0.250 1
```



[4]
The following is a simulated PXRD pattern of Mg3Mn2Sn3. It was derived from a structure optimized by DFT (GGA-PBE), using CuKα.
Neutral-atom scattering factors, no anomalous dispersion.

Principal peaks in the range 2θ = 5–70°, most intense first:
| 2θ (°) | I_rel |
| --- | --- |
| 21.32 | 100 |
| 34.55 | 99 |
| 39.08 | 97 |
| 22.61 | 96 |
| 37.85 | 70 |
| 37.45 | 67 |

Structural model:
```
data_Mg3Mn2Sn3
_space_group_name_H-M_alt 'P 1'
_space_group_IT_number 1
_space_group_name_Hall 'P 1'
_cell_length_a 4.361
_cell_length_b 5.755
_cell_length_c 7.643
_cell_angle_alpha 103.80
_cell_angle_beta 106.51
_cell_angle_gamma 90.06
loop_
_atom_site_label
_atom_site_fract_x
_atom_site_fract_y
_atom_site_fract_z
_atom_site_occupancy
Mg1 0.000 0.000 0.000 1
Mg2 0.154 0.703 0.307 1
Mg3 0.808 0.588 0.615 1
Mn1 0.202 0.221 0.404 1
Mn2 0.748 0.055 0.496 1
Sn1 0.357 0.038 0.715 1
Sn2 0.459 0.595 0.918 1
Sn3 0.610 0.313 0.219 1
```



[5]
The following is a simulated PXRD pattern of Mg14MnSn. It was derived from a structure optimized by DFT (GGA-PBE), using CuKα.
Neutral-atom scattering factors, no anomalous dispersion.

Principal peaks in the range 2θ = 5–70°, most intense first:
| 2θ (°) | I_rel |
| --- | --- |
| 37.20 | 100 |
| 16.09 | 30 |
| 32.51 | 28 |
| 35.61 | 25 |
| 23.93 | 21 |
| 69.94 | 19 |

Structural model:
```
data_Mg14MnSn
_space_group_name_H-M_alt 'P 1'
_space_group_IT_number 1
_space_group_name_Hall 'P 1'
_cell_length_a 6.361
_cell_length_b 6.361
_cell_length_c 10.084
_cell_angle_alpha 90.00
_cell_angle_beta 90.00
_cell_angle_gamma 120.00
loop_
_atom_site_label
_atom_site_fract_x
_atom_site_fract_y
_atom_site_fract_z
_atom_site_occupancy
Mg1 0.000 0.000 0.249 1
Mg2 0.000 0.000 0.751 1
Mg3 0.006 0.503 0.257 1
Mg4 0.006 0.503 0.743 1
Mg5 0.333 0.166 0.500 1
Mg6 0.333 0.167 0.000 1
Mg7 0.497 0.503 0.257 1
Mg8 0.497 0.503 0.743 1
Mg9 0.497 0.994 0.257 1
Mg10 0.497 0.994 0.743 1
Mg11 0.833 0.167 0.000 1
Mg12 0.833 0.667 0.000 1
Mg13 0.834 0.166 0.500 1
Mg14 0.834 0.667 0.500 1
Mn1 0.333 0.667 0.500 1
Sn1 0.333 0.667 0.000 1
```



[6]
The following is a simulated PXRD pattern of SrMg2Mn. It was derived from a structure optimized by DFT (GGA-PBE), using CuKα.
Neutral-atom scattering factors, no anomalous dispersion.

Principal peaks in the range 2θ = 5–70°, most intense first:
| 2θ (°) | I_rel |
| --- | --- |
| 32.99 | 100 |
| 33.95 | 97 |
| 34.13 | 96 |
| 16.34 | 78 |
| 29.65 | 33 |
| 61.59 | 31 |

Structural model:
```
data_SrMg2Mn
_space_group_name_H-M_alt 'P 1'
_space_group_IT_number 1
_space_group_name_Hall 'P 1'
_cell_length_a 12.081
_cell_length_b 3.620
_cell_length_c 5.435
_cell_angle_alpha 90.00
_cell_angle_beta 116.11
_cell_angle_gamma 90.00
loop_
_atom_site_label
_atom_site_fract_x
_atom_site_fract_y
_atom_site_fract_z
_atom_site_occupancy
Sr1 0.000 0.000 0.000 1
Sr2 0.500 0.500 0.000 1
Mg1 0.213 0.000 0.711 1
Mg2 0.287 0.500 0.289 1
Mg3 0.713 0.500 0.711 1
Mg4 0.787 0.000 0.289 1
Mn1 0.000 0.500 0.500 1
Mn2 0.500 0.000 0.500 1
```



[7]
The following is a simulated PXRD pattern of SrMg6Mn. It was derived from a structure optimized by DFT (GGA-PBE), using CuKα.
Neutral-atom scattering factors, no anomalous dispersion.

Principal peaks in the range 2θ = 5–70°, most intense first:
| 2θ (°) | I_rel |
| --- | --- |
| 36.23 | 100 |
| 33.76 | 55 |
| 34.99 | 43 |
| 31.59 | 38 |
| 31.13 | 31 |
| 14.27 | 30 |

Structural model:
```
data_SrMg6Mn
_space_group_name_H-M_alt 'P 1'
_space_group_IT_number 1
_space_group_name_Hall 'P 1'
_cell_length_a 5.129
_cell_length_b 6.366
_cell_length_c 12.410
_cell_angle_alpha 90.00
_cell_angle_beta 90.00
_cell_angle_gamma 90.00
loop_
_atom_site_label
_atom_site_fract_x
_atom_site_fract_y
_atom_site_fract_z
_atom_site_occupancy
Sr1 0.000 0.000 0.000 1
Sr2 0.000 0.500 0.500 1
Mg1 0.000 0.242 0.257 1
Mg2 0.000 0.258 0.757 1
Mg3 0.000 0.742 0.757 1
Mg4 0.000 0.758 0.257 1
Mg5 0.500 0.000 0.390 1
Mg6 0.500 0.000 0.830 1
Mg7 0.500 0.242 0.616 1
Mg8 0.500 0.258 0.116 1
Mg9 0.500 0.500 0.330 1
Mg10 0.500 0.500 0.890 1
Mg11 0.500 0.742 0.116 1
Mg12 0.500 0.758 0.616 1
Mn1 0.000 0.000 0.561 1
Mn2 0.000 0.500 0.061 1
```



[8]
The following is a simulated PXRD pattern of MgTa2Mn. It was derived from a structure optimized by DFT (GGA-PBE), using CuKα.
Neutral-atom scattering factors, no anomalous dispersion.

Principal peaks in the range 2θ = 5–70°, most intense first:
| 2θ (°) | I_rel |
| --- | --- |
| 38.55 | 100 |
| 12.45 | 78 |
| 41.22 | 46 |
| 31.50 | 43 |
| 43.22 | 16 |
| 59.71 | 15 |

Structural model:
```
data_MgTa2Mn
_space_group_name_H-M_alt 'P 1'
_space_group_IT_number 1
_space_group_name_Hall 'P 1'
_cell_length_a 3.097
_cell_length_b 3.097
_cell_length_c 7.112
_cell_angle_alpha 90.00
_cell_angle_beta 90.00
_cell_angle_gamma 90.00
loop_
_atom_site_label
_atom_site_fract_x
_atom_site_fract_y
_atom_site_fract_z
_atom_site_occupancy
Mg1 0.000 0.000 0.000 1
Ta1 0.000 0.000 0.425 1
Ta2 0.500 0.500 0.697 1
Mn1 0.500 0.500 0.244 1
```



[9]
The following is a simulated PXRD pattern of MgTaMn2. It was derived from a structure optimized by DFT (GGA-PBE), using CuKα.
Neutral-atom scattering factors, no anomalous dispersion.

Principal peaks in the range 2θ = 5–70°, most intense first:
| 2θ (°) | I_rel |
| --- | --- |
| 41.09 | 100 |
| 24.82 | 39 |
| 28.74 | 30 |
| 48.60 | 20 |
| 59.51 | 16 |
| 67.41 | 11 |

Structural model:
```
data_MgTaMn2
_space_group_name_H-M_alt 'P 1'
_space_group_IT_number 1
_space_group_name_Hall 'P 1'
_cell_length_a 6.213
_cell_length_b 6.213
_cell_length_c 6.213
_cell_angle_alpha 90.00
_cell_angle_beta 90.00
_cell_angle_gamma 90.00
loop_
_atom_site_label
_atom_site_fract_x
_atom_site_fract_y
_atom_site_fract_z
_atom_site_occupancy
Mg1 0.000 0.000 0.000 1
Mg2 0.000 0.500 0.500 1
Mg3 0.500 0.000 0.500 1
Mg4 0.500 0.500 0.000 1
Ta1 0.250 0.250 0.250 1
Ta2 0.250 0.750 0.750 1
Ta3 0.750 0.250 0.750 1
Ta4 0.750 0.750 0.250 1
Mn1 0.000 0.000 0.500 1
Mn2 0.000 0.500 0.000 1
Mn3 0.250 0.250 0.750 1
Mn4 0.250 0.750 0.250 1
Mn5 0.500 0.000 0.000 1
Mn6 0.500 0.500 0.500 1
Mn7 0.750 0.250 0.250 1
Mn8 0.750 0.750 0.750 1
```



[10]
The following is a simulated PXRD pattern of MgTa2Mn. It was derived from a structure optimized by DFT (GGA-PBE), using CuKα.
Neutral-atom scattering factors, no anomalous dispersion.

Principal peaks in the range 2θ = 5–70°, most intense first:
| 2θ (°) | I_rel |
| --- | --- |
| 38.65 | 100 |
| 38.85 | 95 |
| 21.51 | 90 |
| 40.17 | 47 |
| 43.83 | 37 |
| 31.96 | 29 |

Structural model:
```
data_MgTa2Mn
_space_group_name_H-M_alt 'P 1'
_space_group_IT_number 1
_space_group_name_Hall 'P 1'
_cell_length_a 2.890
_cell_length_b 4.131
_cell_length_c 5.737
_cell_angle_alpha 90.00
_cell_angle_beta 102.49
_cell_angle_gamma 90.00
loop_
_atom_site_label
_atom_site_fract_x
_atom_site_fract_y
_atom_site_fract_z
_atom_site_occupancy
Mg1 0.000 0.000 0.000 1
Ta1 0.438 0.500 0.723 1
Ta2 0.562 0.500 0.277 1
Mn1 0.000 0.000 0.500 1
```



[11]
The following is a simulated PXRD pattern of MgTaMn2W. It was derived from a structure optimized by DFT (GGA-PBE), using CuKα.
Neutral-atom scattering factors, no anomalous dispersion.

Principal peaks in the range 2θ = 5–70°, most intense first:
| 2θ (°) | I_rel |
| --- | --- |
| 18.67 | 100 |
| 37.86 | 38 |
| 26.53 | 29 |
| 54.25 | 27 |
| 42.08 | 26 |
| 42.54 | 25 |

Structural model:
```
data_MgTaMn2W
_space_group_name_H-M_alt 'P 1'
_space_group_IT_number 1
_space_group_name_Hall 'P 1'
_cell_length_a 4.752
_cell_length_b 4.752
_cell_length_c 4.814
_cell_angle_alpha 90.00
_cell_angle_beta 90.00
_cell_angle_gamma 90.00
loop_
_atom_site_label
_atom_site_fract_x
_atom_site_fract_y
_atom_site_fract_z
_atom_site_occupancy
Mg1 0.000 0.000 0.000 1
Ta1 0.500 0.500 0.500 1
Mn1 0.000 0.500 0.500 1
Mn2 0.500 0.000 0.500 1
W1 0.500 0.500 0.000 1
```



[12]
The following is a simulated PXRD pattern of Mg3MnTe4. It was derived from a structure optimized by DFT (GGA-PBE), using CuKα.
Neutral-atom scattering factors, no anomalous dispersion.

Principal peaks in the range 2θ = 5–70°, most intense first:
| 2θ (°) | I_rel |
| --- | --- |
| 25.46 | 100 |
| 22.44 | 54 |
| 42.96 | 51 |
| 39.39 | 49 |
| 23.87 | 41 |
| 46.59 | 40 |

Structural model:
```
data_Mg3MnTe4
_space_group_name_H-M_alt 'P 1'
_space_group_IT_number 1
_space_group_name_Hall 'P 1'
_cell_length_a 9.150
_cell_length_b 7.923
_cell_length_c 7.455
_cell_angle_alpha 90.00
_cell_angle_beta 90.00
_cell_angle_gamma 90.00
loop_
_atom_site_label
_atom_site_fract_x
_atom_site_fract_y
_atom_site_fract_z
_atom_site_occupancy
Mg1 0.000 0.164 0.000 1
Mg2 0.249 0.332 0.499 1
Mg3 0.251 0.668 0.999 1
Mg4 0.500 0.836 0.500 1
Mg5 0.749 0.668 0.999 1
Mg6 0.751 0.332 0.499 1
Mn1 0.000 0.832 0.499 1
Mn2 0.500 0.168 0.999 1
Te1 0.000 0.158 0.621 1
Te2 0.000 0.832 0.132 1
Te3 0.245 0.669 0.620 1
Te4 0.255 0.331 0.120 1
Te5 0.500 0.168 0.632 1
Te6 0.500 0.842 0.121 1
Te7 0.745 0.331 0.120 1
Te8 0.755 0.669 0.620 1
```